(1)
# ThCu3Br9
Computed PXRD pattern, λ = 1.5418 Å (Cu Kα). Input: a PBE-relaxed structure.

Crystal structure
Cell lengths 10.721, 10.721, 13.559 Å; angles 123.89, 123.89, 51.60 degrees
Positions (direct):
Th 0.226 0.774 0.500
Th 0.774 0.226 0.000
Cu 0.019 0.277 0.844
Cu 0.271 0.433 0.656
Cu 0.277 0.019 0.344
Cu 0.433 0.271 0.156
Cu 0.639 0.823 0.216
Cu 0.823 0.639 0.716
Br 0.091 0.181 0.193
Br 0.107 0.917 0.317
Br 0.177 0.421 0.023
Br 0.181 0.091 0.693
Br 0.318 0.655 0.687
Br 0.355 0.427 0.350
Br 0.421 0.177 0.523
Br 0.427 0.355 0.850
Br 0.509 0.774 0.276
Br 0.539 0.756 0.563
Br 0.567 0.974 0.101
Br 0.655 0.318 0.187
Br 0.756 0.539 0.063
Br 0.774 0.509 0.776
Br 0.855 0.883 0.919
Br 0.883 0.855 0.419
Br 0.917 0.107 0.817
Br 0.974 0.567 0.601

Main lines, by intensity (2θ = 10–90°):
2θ 15.94, I 100
2θ 11.53, I 34
2θ 21.95, I 24
2θ 30.39, I 24
2θ 27.76, I 24
2θ 37.81, I 20
2θ 17.71, I 17
2θ 26.40, I 17
2θ 35.50, I 16
2θ 41.39, I 16
2θ 28.18, I 16
2θ 25.00, I 16

***

(2)
# TiCu3Br9
Computed PXRD pattern, λ = 1.5418 Å (Cu Kα). Input: a PBE-relaxed structure.

Crystal structure
Cell lengths 10.123, 10.123, 13.086 Å; angles 123.93, 123.93, 53.09 degrees
Positions (direct):
Ti 0.222 0.778 0.500
Ti 0.778 0.222 0.000
Cu 0.202 0.332 0.769
Cu 0.332 0.202 0.269
Cu 0.549 0.713 0.329
Cu 0.713 0.549 0.829
Cu 0.746 0.978 0.160
Cu 0.978 0.746 0.660
Br 0.020 0.404 0.867
Br 0.070 0.199 0.061
Br 0.095 0.908 0.676
Br 0.199 0.070 0.561
Br 0.219 0.489 0.429
Br 0.231 0.493 0.712
Br 0.328 0.664 0.314
Br 0.404 0.020 0.367
Br 0.489 0.219 0.929
Br 0.493 0.231 0.212
Br 0.538 0.667 0.645
Br 0.586 0.810 0.985
Br 0.664 0.328 0.814
Br 0.667 0.538 0.145
Br 0.810 0.586 0.485
Br 0.852 0.911 0.835
Br 0.908 0.095 0.176
Br 0.911 0.852 0.335

Main lines, by intensity (2θ = 10–90°):
2θ 16.68, I 100
2θ 28.70, I 51
2θ 29.17, I 37
2θ 26.60, I 37
2θ 32.14, I 32
2θ 27.58, I 28
2θ 43.08, I 24
2θ 18.54, I 23
2θ 11.92, I 19
2θ 17.34, I 19
2θ 21.24, I 18
2θ 27.15, I 17

***

(3)
# TiTlCuBr6
Computed PXRD pattern, λ = 1.5418 Å (Cu Kα). Input: a PBE-relaxed structure.

Crystal structure
Cell lengths 7.191, 7.191, 7.189 Å; angles 93.52, 93.52, 125.85 degrees
Positions (direct):
Ti 0.000 0.000 0.000
Tl 0.684 0.316 0.500
Cu 0.277 0.723 0.000
Br 0.061 0.341 0.827
Br 0.265 0.300 0.264
Br 0.309 0.026 0.822
Br 0.659 0.939 0.173
Br 0.700 0.735 0.736
Br 0.974 0.691 0.178

Main lines, by intensity (2θ = 10–90°):
2θ 18.58, I 100
2θ 28.82, I 88
2θ 20.91, I 65
2θ 28.67, I 58
2θ 34.24, I 57
2θ 40.05, I 35
2θ 27.81, I 32
2θ 39.27, I 30
2θ 47.12, I 29
2θ 27.12, I 28
2θ 30.91, I 26
2θ 40.41, I 24

***

(4)
# Tl4CuBr6
Computed PXRD pattern, λ = 1.5418 Å (Cu Kα). Input: a PBE-relaxed structure.

Crystal structure
Cell lengths 8.921, 8.921, 9.253 Å; angles 90.00, 90.00, 90.00 degrees
Positions (direct):
Tl 0.152 0.348 0.250
Tl 0.152 0.348 0.750
Tl 0.348 0.848 0.250
Tl 0.348 0.848 0.750
Tl 0.652 0.152 0.250
Tl 0.652 0.152 0.750
Tl 0.848 0.652 0.250
Tl 0.848 0.652 0.750
Cu 0.000 0.000 0.000
Cu 0.500 0.500 0.500
Br 0.000 0.000 0.259
Br 0.000 0.000 0.741
Br 0.133 0.707 0.000
Br 0.207 0.633 0.500
Br 0.293 0.133 0.000
Br 0.367 0.207 0.500
Br 0.500 0.500 0.241
Br 0.500 0.500 0.759
Br 0.633 0.793 0.500
Br 0.707 0.867 0.000
Br 0.793 0.367 0.500
Br 0.867 0.293 0.000

Main lines, by intensity (2θ = 10–90°):
2θ 29.57, I 100
2θ 31.72, I 38
2θ 22.28, I 22
2θ 51.06, I 19
2θ 38.94, I 16
2θ 19.18, I 16
2θ 37.33, I 14
2θ 59.25, I 13
2θ 46.32, I 12
2θ 64.82, I 11
2θ 43.00, I 8
2θ 13.79, I 7

***

(5)
# Tl4CuBr5
Computed PXRD pattern, λ = 1.5418 Å (Cu Kα). Input: a PBE-relaxed structure.

Crystal structure
Cell lengths 7.912, 7.912, 7.912 Å; angles 100.27, 100.27, 130.06 degrees
Positions (direct):
Tl 0.091 0.695 0.787
Tl 0.305 0.091 0.396
Tl 0.695 0.909 0.604
Tl 0.909 0.305 0.213
Cu 0.434 0.434 0.000
Br 0.058 0.058 0.000
Br 0.264 0.415 0.660
Br 0.415 0.754 0.150
Br 0.604 0.264 0.850
Br 0.754 0.604 0.340

Main lines, by intensity (2θ = 10–90°):
2θ 27.81, I 100
2θ 38.93, I 78
2θ 26.69, I 57
2θ 23.71, I 56
2θ 48.52, I 32
2θ 39.74, I 31
2θ 46.80, I 30
2θ 62.73, I 17
2θ 29.61, I 14
2θ 61.87, I 14
2θ 71.59, I 14
2θ 34.60, I 13

***

(6)
# TlCuBr4
Computed PXRD pattern, λ = 1.5418 Å (Cu Kα). Input: a PBE-relaxed structure.

Crystal structure
Cell lengths 6.195, 6.195, 11.316 Å; angles 90.00, 90.00, 90.00 degrees
Positions (direct):
Tl 0.000 0.000 0.000
Tl 0.000 0.000 0.500
Cu 0.000 0.500 0.250
Cu 0.500 0.000 0.750
Br 0.238 0.274 0.368
Br 0.238 0.726 0.132
Br 0.274 0.238 0.868
Br 0.274 0.762 0.632
Br 0.726 0.238 0.632
Br 0.726 0.762 0.868
Br 0.762 0.274 0.132
Br 0.762 0.726 0.368

Main lines, by intensity (2θ = 10–90°):
2θ 25.72, I 100
2θ 43.32, I 47
2θ 14.30, I 37
2θ 21.27, I 35
2θ 49.22, I 31
2θ 41.22, I 27
2θ 36.10, I 19
2θ 16.31, I 16
2θ 76.59, I 15
2θ 32.31, I 14
2θ 80.92, I 13
2θ 52.85, I 13